For V18P9C2, a structure optimized by DFT (GGA-PBE) gives the computed powder X-ray diffraction pattern in this record (Cu Ka).
Kinematic intensities with the Lorentz-polarization factor, no thermal factor.

Cell and atoms:
a b c (Å): 17.071 3.190 13.047
angles (deg): 90.00 90.00 90.00
Space group Pmma (No. 51)
Symmetry-distinct sites (fractional):
V  0.000  0.000  0.000 (multiplicity 2)
V  0.000  0.500  0.500 (multiplicity 2)
V  0.001  0.000  0.339 (multiplicity 4)
V  0.058  0.500  0.153 (multiplicity 4)
V  0.122  0.500  0.928 (multiplicity 4)
V  0.133  0.000  0.497 (multiplicity 4)
V  0.162  0.000  0.740 (multiplicity 4)
V  0.170  0.000  0.255 (multiplicity 4)
V  0.250  0.000  0.937 (multiplicity 2)
V  0.250  0.500  0.100 (multiplicity 2)
V  0.250  0.500  0.402 (multiplicity 2)
V  0.250  0.500  0.606 (multiplicity 2)
P  0.046  0.000  0.829 (multiplicity 4)
P  0.102  0.500  0.362 (multiplicity 4)
P  0.103  0.500  0.630 (multiplicity 4)
P  0.142  0.000  0.066 (multiplicity 4)
P  0.250  0.500  0.808 (multiplicity 2)
C  0.250  0.000  0.504 (multiplicity 2)
C  0.250  0.500  0.250 (multiplicity 2)

Main lines, by angle (2θ from 10° to 80°):
- (0 1 4), 2θ 39.51, intensity 89
- (4 1 3), 2θ 40.96, intensity 100
- (5 1 2), 2θ 41.12, intensity 49
- (6 0 4), 2θ 42.15, intensity 60
- (6 1 0), 2θ 42.57, intensity 99
- (2 0 6), 2θ 42.92, intensity 73
- (8 0 2), 2θ 44.68, intensity 39
- (0 2 0), 2θ 57.80, intensity 63